(1)
Fe5O8F2: computed PXRD pattern (copper Kα), based on a structure optimized by DFT (GGA+U).

Lattice parameters (Å, degrees): 4.652 7.605 9.778 70.07 88.56 88.77
Sites, in units of the cell vectors:
Fe 0.000 0.000 0.000
Fe 0.001 0.821 0.596
Fe 0.006 0.601 0.202
Fe 0.019 0.200 0.392
Fe 0.462 0.513 0.489
Fe 0.470 0.697 0.888
Fe 0.488 0.103 0.707
Fe 0.504 0.904 0.292
Fe 0.529 0.312 0.104
Fe 0.991 0.403 0.794
O 0.172 0.641 0.767
O 0.185 0.440 0.372
O 0.185 0.838 0.173
O 0.195 0.059 0.569
O 0.296 0.936 0.882
O 0.298 0.346 0.675
O 0.299 0.754 0.469
O 0.303 0.541 0.074
O 0.323 0.141 0.269
O 0.683 0.865 0.722
O 0.689 0.667 0.316
O 0.692 0.465 0.919
O 0.702 0.067 0.118
O 0.809 0.166 0.824
O 0.813 0.977 0.419
O 0.821 0.366 0.226
F 0.203 0.244 0.977
F 0.693 0.272 0.521
F 0.789 0.566 0.611
F 0.798 0.756 0.021

The 8 most intense peaks (10° ≤ 2θ ≤ 90°), in order of falling intensity:
- 26.7°, rel. 100
- 27.5°, rel. 96
- 35.5°, rel. 51
- 35.6°, rel. 50
- 53.0°, rel. 29
- 54.0°, rel. 28
- 54.1°, rel. 27
- 38.7°, rel. 20

(2)
Fe2OF3: computed PXRD pattern (copper Kα), based on a structure optimized by DFT (GGA+U).

Lattice parameters (Å, degrees): 15.613 4.841 4.841 91.86 90.00 90.00
Sites, in units of the cell vectors:
Fe 0.000 0.000 0.000
Fe 0.100 0.454 0.454
Fe 0.200 0.975 0.975
Fe 0.300 0.498 0.498
Fe 0.400 0.951 0.951
Fe 0.500 0.487 0.487
Fe 0.600 0.951 0.951
Fe 0.700 0.498 0.498
Fe 0.800 0.975 0.975
Fe 0.900 0.454 0.454
O 0.102 0.155 0.155
O 0.297 0.795 0.795
O 0.500 0.786 0.786
O 0.703 0.795 0.795
O 0.898 0.155 0.155
F 0.000 0.261 0.680
F 0.000 0.680 0.261
F 0.098 0.771 0.771
F 0.200 0.268 0.683
F 0.200 0.683 0.268
F 0.302 0.179 0.179
F 0.400 0.268 0.687
F 0.400 0.687 0.268
F 0.500 0.173 0.173
F 0.600 0.268 0.687
F 0.600 0.687 0.268
F 0.698 0.179 0.179
F 0.800 0.268 0.683
F 0.800 0.683 0.268
F 0.902 0.771 0.771

The 8 most intense peaks (10° ≤ 2θ ≤ 90°), in order of falling intensity:
- 34.2°, rel. 100
- 26.5°, rel. 90
- 25.6°, rel. 89
- 50.9°, rel. 58
- 51.9°, rel. 52
- 65.1°, rel. 38
- 52.6°, rel. 22
- 38.8°, rel. 19

(3)
Fe5O2F8: computed PXRD pattern (copper Kα), based on a structure optimized by DFT (GGA+U).

Lattice parameters (Å, degrees): 4.852 7.964 10.041 70.77 88.65 88.39
Sites, in units of the cell vectors:
Fe 0.000 0.000 0.000
Fe 0.000 0.391 0.800
Fe 0.001 0.802 0.599
Fe 0.450 0.907 0.317
Fe 0.458 0.101 0.723
Fe 0.502 0.687 0.915
Fe 0.504 0.311 0.102
Fe 0.508 0.493 0.494
Fe 0.933 0.587 0.206
Fe 0.981 0.197 0.411
O 0.175 0.977 0.423
O 0.186 0.157 0.829
O 0.686 0.543 0.088
O 0.805 0.426 0.385
F 0.165 0.745 0.042
F 0.183 0.355 0.232
F 0.199 0.555 0.615
F 0.279 0.678 0.318
F 0.282 0.461 0.923
F 0.285 0.244 0.533
F 0.304 0.057 0.132
F 0.309 0.861 0.731
F 0.668 0.752 0.477
F 0.672 0.323 0.689
F 0.684 0.942 0.882
F 0.688 0.123 0.294
F 0.772 0.835 0.195
F 0.774 0.049 0.588
F 0.788 0.234 0.985
F 0.804 0.637 0.772

The 8 most intense peaks (10° ≤ 2θ ≤ 90°), in order of falling intensity:
- 25.8°, rel. 100
- 26.6°, rel. 92
- 51.5°, rel. 28
- 34.1°, rel. 26
- 33.9°, rel. 26
- 34.2°, rel. 25
- 33.7°, rel. 25
- 39.2°, rel. 19

(4)
Fe5O2F8: computed PXRD pattern (copper Kα), based on a structure optimized by DFT (GGA+U).

Lattice parameters (Å, degrees): 4.820 4.824 16.728 90.00 106.23 90.00
Sites, in units of the cell vectors:
Fe 0.000 0.000 0.000
Fe 0.000 0.500 0.500
Fe 0.188 0.013 0.192
Fe 0.188 0.487 0.692
Fe 0.373 0.528 0.899
Fe 0.373 0.972 0.399
Fe 0.627 0.028 0.601
Fe 0.627 0.472 0.101
Fe 0.812 0.513 0.308
Fe 0.812 0.987 0.808
O 0.069 0.676 0.395
O 0.069 0.824 0.895
O 0.931 0.176 0.105
O 0.931 0.324 0.605
F 0.088 0.196 0.292
F 0.088 0.304 0.792
F 0.307 0.197 0.501
F 0.307 0.303 0.001
F 0.328 0.713 0.610
F 0.328 0.787 0.110
F 0.484 0.703 0.790
F 0.484 0.797 0.290
F 0.516 0.203 0.710
F 0.516 0.297 0.210
F 0.672 0.213 0.890
F 0.672 0.287 0.390
F 0.693 0.697 0.999
F 0.693 0.803 0.499
F 0.912 0.696 0.208
F 0.912 0.804 0.708

The 8 most intense peaks (10° ≤ 2θ ≤ 90°), in order of falling intensity:
- 26.1°, rel. 100
- 33.5°, rel. 27
- 53.8°, rel. 19
- 51.1°, rel. 16
- 50.8°, rel. 16
- 51.2°, rel. 16
- 50.9°, rel. 15
- 33.4°, rel. 14

(5)
Fe6O5F7: computed PXRD pattern (copper Kα), based on a structure optimized by DFT (GGA+U).

Lattice parameters (Å, degrees): 5.687 5.694 7.356 72.35 72.33 73.28
Sites, in units of the cell vectors:
Fe 0.000 0.000 0.000
Fe 0.005 0.974 0.496
Fe 0.323 0.294 0.665
Fe 0.393 0.302 0.193
Fe 0.685 0.662 0.330
Fe 0.696 0.613 0.836
O 0.231 0.189 0.462
O 0.594 0.545 0.135
O 0.667 0.003 0.169
O 0.785 0.744 0.541
O 0.972 0.330 0.846
F 0.058 0.614 0.166
F 0.126 0.070 0.199
F 0.317 0.676 0.497
F 0.378 0.918 0.849
F 0.444 0.399 0.879
F 0.710 0.282 0.498
F 0.919 0.871 0.799

The 8 most intense peaks (10° ≤ 2θ ≤ 90°), in order of falling intensity:
- 34.5°, rel. 100
- 26.2°, rel. 94
- 26.7°, rel. 92
- 51.8°, rel. 41
- 66.2°, rel. 30
- 52.4°, rel. 29
- 52.3°, rel. 25
- 39.3°, rel. 20

(6)
Fe2O3F: computed PXRD pattern (copper Kα), based on a structure optimized by DFT (GGA+U).

Lattice parameters (Å, degrees): 5.586 5.586 4.700 93.12 93.12 65.44
Sites, in units of the cell vectors:
Fe 0.000 0.000 0.000
Fe 0.000 0.500 0.500
Fe 0.500 0.000 0.500
Fe 0.500 0.500 0.000
O 0.152 0.654 0.805
O 0.338 0.338 0.319
O 0.346 0.848 0.195
O 0.654 0.152 0.805
O 0.662 0.662 0.681
O 0.848 0.346 0.195
F 0.148 0.148 0.700
F 0.852 0.852 0.300

The 8 most intense peaks (10° ≤ 2θ ≤ 90°), in order of falling intensity:
- 26.0°, rel. 100
- 35.4°, rel. 97
- 27.8°, rel. 89
- 52.2°, rel. 62
- 54.2°, rel. 51
- 67.5°, rel. 40
- 38.4°, rel. 19
- 53.4°, rel. 18